1.
The following is a theoretical XRD peak list of Zn4Sb3. It was derived from the PBE geometry in OQMD, using a wavelength of 1.5418 Å.

The 8 most intense peaks (10° ≤ 2θ ≤ 90°), most intense first:
d 2.405, 37.40 deg, intensity 100
d 2.573, 34.87 deg, intensity 36
d 3.233, 27.59 deg, intensity 29
d 1.451, 64.19 deg, intensity 18
d 1.927, 47.17 deg, intensity 18
d 2.720, 32.93 deg, intensity 17
d 1.869, 48.71 deg, intensity 11
d 1.996, 45.44 deg, intensity 10

Structure:
a = 8.310 Å, b = 5.146 Å, c = 8.311 Å
α = 90.00°, β = 119.99°, γ = 90.00°
Sites, in units of the cell vectors:
Zn (0.020, 0.250, 0.201)
Zn (0.181, 0.250, 0.980)
Zn (0.200, 0.750, 0.181)
Zn (0.333, 0.250, 0.667)
Zn (0.667, 0.750, 0.333)
Zn (0.800, 0.250, 0.819)
Zn (0.819, 0.750, 0.020)
Zn (0.980, 0.750, 0.799)
Sb (0.034, 0.750, 0.413)
Sb (0.378, 0.750, 0.966)
Sb (0.413, 0.250, 0.379)
Sb (0.587, 0.750, 0.621)
Sb (0.622, 0.250, 0.034)
Sb (0.966, 0.250, 0.587)


2.
The following is a theoretical XRD peak list of Dy5Er2Te2Ir2. It was derived from the PBE geometry in OQMD, using a wavelength of 1.5418 Å.

The 8 most intense peaks (10° ≤ 2θ ≤ 90°), most intense first:
d 2.667, 33.60 deg, intensity 100
d 2.693, 33.27 deg, intensity 43
d 2.616, 34.28 deg, intensity 39
d 2.963, 30.16 deg, intensity 36
d 1.966, 46.17 deg, intensity 33
d 2.341, 38.45 deg, intensity 25
d 7.871, 11.24 deg, intensity 22
d 2.453, 36.64 deg, intensity 22

Structure:
a = 9.379 Å, b = 9.379 Å, c = 9.379 Å
α = 155.80°, β = 65.89°, γ = 119.76°
Sites, in units of the cell vectors:
Dy (0.000, 0.000, 0.000)
Dy (0.057, 0.372, 0.684)
Dy (0.087, 0.733, 0.353)
Dy (0.380, 0.733, 0.647)
Dy (0.688, 0.372, 0.316)
Er (0.451, 0.583, 0.868)
Er (0.715, 0.583, 0.132)
Te (0.339, 0.339, 0.000)
Te (0.735, 0.235, 0.500)
Ir (0.310, 0.071, 0.239)
Ir (0.832, 0.071, 0.761)


3.
The following is a theoretical XRD peak list of Sm2Hf. It was derived from the PBE geometry in OQMD, using a wavelength of 1.5418 Å.

The 8 most intense peaks (10° ≤ 2θ ≤ 90°), most intense first:
d 2.675, 33.50 deg, intensity 100
d 2.561, 35.03 deg, intensity 35
d 1.708, 53.68 deg, intensity 35
d 3.137, 28.45 deg, intensity 31
d 1.568, 58.88 deg, intensity 30
d 1.155, 83.73 deg, intensity 22
d 1.338, 70.39 deg, intensity 14
d 1.811, 50.38 deg, intensity 13

Structure:
a = 6.274 Å, b = 6.274 Å, c = 6.274 Å
α = 60.00°, β = 60.00°, γ = 60.00°
Sites, in units of the cell vectors:
Sm (0.000, 0.000, 0.000)
Sm (0.000, 0.000, 0.500)
Sm (0.000, 0.500, 0.000)
Sm (0.500, 0.000, 0.000)
Hf (0.375, 0.375, 0.375)
Hf (0.625, 0.625, 0.625)


4.
The following is a theoretical XRD peak list of Tm2GaNi4Sn. It was derived from the PBE geometry in OQMD, using a wavelength of 1.5418 Å.

The 8 most intense peaks (10° ≤ 2θ ≤ 90°), most intense first:
d 2.253, 40.02 deg, intensity 100
d 2.125, 42.54 deg, intensity 99
d 2.789, 32.09 deg, intensity 60
d 3.381, 26.36 deg, intensity 40
d 1.546, 59.82 deg, intensity 30
d 1.250, 76.15 deg, intensity 29
d 1.507, 61.54 deg, intensity 19
d 1.227, 77.86 deg, intensity 16

Structure:
a = 4.250 Å, b = 4.250 Å, c = 8.549 Å
α = 90.00°, β = 90.00°, γ = 120.00°
Sites, in units of the cell vectors:
Tm (0.333, 0.667, 0.256)
Tm (0.667, 0.333, 0.744)
Ga (0.000, 0.000, 0.500)
Ni (0.333, 0.667, 0.574)
Ni (0.333, 0.667, 0.913)
Ni (0.667, 0.333, 0.087)
Ni (0.667, 0.333, 0.426)
Sn (0.000, 0.000, 0.000)


5.
The following is a theoretical XRD peak list of Tb2Al4NiAu. It was derived from the PBE geometry in OQMD, using a wavelength of 1.5418 Å.

The 8 most intense peaks (10° ≤ 2θ ≤ 90°), most intense first:
d 6.823, 12.97 deg, intensity 100
d 2.901, 30.82 deg, intensity 43
d 2.336, 38.54 deg, intensity 27
d 3.412, 26.12 deg, intensity 17
d 3.206, 27.83 deg, intensity 16
d 2.456, 36.58 deg, intensity 13
d 2.274, 39.63 deg, intensity 11
d 2.084, 43.42 deg, intensity 9

Structure:
a = 6.823 Å, b = 9.417 Å, c = 9.417 Å
α = 23.01°, β = 90.00°, γ = 90.00°
Sites, in units of the cell vectors:
Tb (0.000, 0.000, 0.000)
Tb (0.000, 0.349, 0.349)
Al (0.301, 0.147, 0.147)
Al (0.315, 0.533, 0.533)
Al (0.685, 0.533, 0.533)
Al (0.699, 0.147, 0.147)
Ni (0.000, 0.223, 0.223)
Au (0.000, 0.632, 0.632)


6.
The following is a theoretical XRD peak list of Ni2W11. It was derived from the PBE geometry in OQMD, using a wavelength of 1.5418 Å.

The 8 most intense peaks (10° ≤ 2θ ≤ 90°), most intense first:
d 2.257, 39.94 deg, intensity 100
d 2.087, 43.36 deg, intensity 40
d 2.151, 42.00 deg, intensity 39
d 1.307, 72.27 deg, intensity 26
d 2.312, 38.95 deg, intensity 26
d 2.615, 34.30 deg, intensity 23
d 4.482, 19.81 deg, intensity 23
d 2.233, 40.39 deg, intensity 22

Structure:
a = 9.459 Å, b = 9.459 Å, c = 9.459 Å
α = 32.10°, β = 32.10°, γ = 32.10°
Sites, in units of the cell vectors:
Ni (0.166, 0.166, 0.166)
Ni (0.834, 0.834, 0.834)
W (0.000, 0.000, 0.000)
W (0.088, 0.088, 0.583)
W (0.088, 0.583, 0.088)
W (0.351, 0.351, 0.351)
W (0.417, 0.912, 0.912)
W (0.451, 0.451, 0.451)
W (0.549, 0.549, 0.549)
W (0.583, 0.088, 0.088)
W (0.649, 0.649, 0.649)
W (0.912, 0.417, 0.912)
W (0.912, 0.912, 0.417)


7.
The following is a theoretical XRD peak list of DyGe4O9. It was derived from the PBE geometry in OQMD, using a wavelength of 1.5418 Å.

The 8 most intense peaks (10° ≤ 2θ ≤ 90°), most intense first:
d 2.888, 30.97 deg, intensity 100
d 2.947, 30.33 deg, intensity 78
d 4.256, 20.87 deg, intensity 71
d 2.761, 32.43 deg, intensity 51
d 3.310, 26.93 deg, intensity 49
d 3.202, 27.86 deg, intensity 31
d 2.033, 44.56 deg, intensity 23
d 5.522, 16.05 deg, intensity 23

Structure:
a = 6.568 Å, b = 6.568 Å, c = 4.806 Å
α = 102.82°, β = 102.82°, γ = 115.62°
Sites, in units of the cell vectors:
Dy (0.000, 0.000, 0.000)
Ge (0.306, 0.694, 0.000)
Ge (0.461, 0.539, 0.500)
Ge (0.493, 0.092, 0.685)
Ge (0.908, 0.507, 0.315)
O (0.054, 0.711, 0.136)
O (0.128, 0.481, 0.583)
O (0.270, 0.416, 0.097)
O (0.289, 0.946, 0.864)
O (0.342, 0.219, 0.480)
O (0.519, 0.872, 0.417)
O (0.584, 0.730, 0.903)
O (0.781, 0.219, 0.000)
O (0.781, 0.658, 0.520)


8.
The following is a theoretical XRD peak list of NbC2NCl8. It was derived from the PBE geometry in OQMD, using a wavelength of 1.5418 Å.

The 8 most intense peaks (10° ≤ 2θ ≤ 90°), most intense first:
d 4.959, 17.89 deg, intensity 100
d 2.728, 32.83 deg, intensity 56
d 8.404, 10.53 deg, intensity 38
d 2.580, 34.77 deg, intensity 34
d 4.499, 19.73 deg, intensity 32
d 3.587, 24.82 deg, intensity 27
d 4.077, 21.80 deg, intensity 24
d 5.769, 15.36 deg, intensity 23

Structure:
a = 6.199 Å, b = 6.199 Å, c = 16.807 Å
α = 90.00°, β = 90.00°, γ = 97.75°
Sites, in units of the cell vectors:
Nb (0.095, 0.905, 0.500)
Nb (0.905, 0.095, 0.000)
C (0.345, 0.655, 0.656)
C (0.433, 0.567, 0.729)
C (0.567, 0.433, 0.229)
C (0.655, 0.345, 0.156)
N (0.270, 0.730, 0.601)
N (0.730, 0.270, 0.101)
Cl (0.056, 0.944, 0.113)
Cl (0.078, 0.922, 0.904)
Cl (0.168, 0.402, 0.012)
Cl (0.210, 0.432, 0.784)
Cl (0.296, 0.704, 0.416)
Cl (0.384, 0.616, 0.201)
Cl (0.402, 0.168, 0.512)
Cl (0.432, 0.210, 0.284)
Cl (0.568, 0.790, 0.784)
Cl (0.598, 0.832, 0.012)
Cl (0.616, 0.384, 0.701)
Cl (0.704, 0.296, 0.916)
Cl (0.790, 0.568, 0.284)
Cl (0.832, 0.598, 0.512)
Cl (0.922, 0.078, 0.404)
Cl (0.944, 0.056, 0.613)


9.
The following is a theoretical XRD peak list of Dy2YAl3AgPt2. It was derived from the PBE geometry in OQMD, using a wavelength of 1.5418 Å.

The 8 most intense peaks (10° ≤ 2θ ≤ 90°), most intense first:
d 2.469, 36.38 deg, intensity 100
d 2.679, 33.45 deg, intensity 93
d 3.678, 24.20 deg, intensity 51
d 2.123, 42.59 deg, intensity 41
d 6.372, 13.90 deg, intensity 38
d 2.050, 44.17 deg, intensity 32
d 1.438, 64.82 deg, intensity 23
d 1.956, 46.43 deg, intensity 22

Structure:
a = 3.911 Å, b = 7.358 Å, c = 7.358 Å
α = 120.09°, β = 90.00°, γ = 90.00°
Sites, in units of the cell vectors:
Dy (0.000, 0.208, 0.792)
Dy (0.000, 0.792, 0.208)
Y (0.000, 0.378, 0.378)
Al (0.500, 0.051, 0.051)
Al (0.500, 0.534, 0.792)
Al (0.500, 0.792, 0.534)
Ag (0.000, 0.794, 0.794)
Pt (0.500, 0.124, 0.460)
Pt (0.500, 0.460, 0.124)


10.
The following is a theoretical XRD peak list of Sr2OsSO6. It was derived from the PBE geometry in OQMD, using a wavelength of 1.5418 Å.

The 8 most intense peaks (10° ≤ 2θ ≤ 90°), most intense first:
d 3.826, 23.25 deg, intensity 100
d 2.726, 32.86 deg, intensity 64
d 2.771, 32.31 deg, intensity 59
d 4.600, 19.29 deg, intensity 59
d 1.905, 47.74 deg, intensity 45
d 1.952, 46.53 deg, intensity 45
d 1.913, 47.53 deg, intensity 40
d 2.796, 32.01 deg, intensity 36

Structure:
a = 6.128 Å, b = 6.128 Å, c = 5.592 Å
α = 117.07°, β = 117.07°, γ = 50.68°
Sites, in units of the cell vectors:
Sr (0.186, 0.186, 0.188)
Sr (0.814, 0.814, 0.812)
Os (0.500, 0.500, 0.500)
S (0.500, 0.500, 0.000)
O (0.270, 0.729, 0.220)
O (0.271, 0.730, 0.780)
O (0.321, 0.321, 0.820)
O (0.679, 0.679, 0.180)
O (0.729, 0.270, 0.220)
O (0.730, 0.271, 0.780)


11.
The following is a theoretical XRD peak list of KZn2Cd2As2P. It was derived from the PBE geometry in OQMD, using a wavelength of 1.5418 Å.

The 8 most intense peaks (10° ≤ 2θ ≤ 90°), most intense first:
d 2.209, 40.85 deg, intensity 100
d 2.177, 41.48 deg, intensity 65
d 3.344, 26.66 deg, intensity 62
d 5.735, 15.45 deg, intensity 46
d 3.019, 29.59 deg, intensity 35
d 3.803, 23.39 deg, intensity 31
d 2.559, 35.07 deg, intensity 25
d 1.269, 74.81 deg, intensity 22

Structure:
a = 11.750 Å, b = 11.750 Å, c = 11.750 Å
α = 21.67°, β = 21.67°, γ = 21.67°
Sites, in units of the cell vectors:
K (0.000, 0.000, 0.000)
Zn (0.195, 0.195, 0.195)
Zn (0.805, 0.805, 0.805)
Cd (0.418, 0.418, 0.418)
Cd (0.582, 0.582, 0.582)
As (0.268, 0.268, 0.268)
As (0.732, 0.732, 0.732)
P (0.500, 0.500, 0.500)


12.
The following is a theoretical XRD peak list of Ba2ReIrO6. It was derived from the PBE geometry in OQMD, using a wavelength of 1.5418 Å.

The 8 most intense peaks (10° ≤ 2θ ≤ 90°), most intense first:
d 2.863, 31.25 deg, intensity 100
d 1.653, 55.61 deg, intensity 41
d 2.024, 44.77 deg, intensity 27
d 1.431, 65.18 deg, intensity 17
d 1.281, 74.01 deg, intensity 12
d 4.048, 21.96 deg, intensity 7
d 1.279, 74.15 deg, intensity 6
d 1.169, 82.55 deg, intensity 6

Structure:
a = 5.723 Å, b = 5.723 Å, c = 5.723 Å
α = 119.93°, β = 119.93°, γ = 90.11°
Sites, in units of the cell vectors:
Ba (0.250, 0.750, 0.500)
Ba (0.750, 0.250, 0.500)
Re (0.000, 0.000, 0.000)
Ir (0.500, 0.500, 0.000)
O (0.221, 0.271, 0.492)
O (0.246, 0.246, 0.000)
O (0.271, 0.779, 0.050)
O (0.729, 0.221, 0.950)
O (0.754, 0.754, 0.000)
O (0.779, 0.729, 0.508)